Simulated PXRD pattern
Compound: Ba3H12Ir2
Radiation: Cu Kα
Structure: a DFT-relaxed cell (PBE, OQMD)

abc: 9.352 5.476 8.721
angles: 90.00 90.45 90.00
Space group C2/m (No. 12)
Asymmetric unit:
Ba1 0.000 0.000 0.000 [2 per cell]
Ba2 0.168 0.500 0.359 [4 per cell]
H1 0.027 0.500 0.878 [4 per cell]
H2 0.091 0.277 0.653 [8 per cell]
H3 0.179 0.000 0.342 [4 per cell]
H4 0.239 0.289 0.878 [8 per cell]
Ir1 0.168 0.500 0.762 [4 per cell]

Largest 10 diffraction maxima, sorted by position, 2θ from 10° to 90°:
two_theta, I_rel, (hkl)
21.4, 636, 1 1 -1
21.6, 300, 2 0 1
27.8, 1000, 1 1 -2
28.1, 493, 2 0 2
32.7, 510, 0 2 0
33.1, 991, 3 1 0
36.2, 328, 2 0 -3
36.3, 309, 1 1 3
43.6, 306, 2 2 2
56.2, 302, 5 1 2